Structure and calculated PXRD pattern of PrGa2CuAu (the PBE geometry in Alexandria; λ = 1.5418 Å (Cu Kα)).
Lines closer than 0.1° are merged.

Cell and atoms:
Lattice parameters (Å, degrees): 6.0034 6.0034 6.0034 137.20 137.20 62.13
Fractional positions:
Pr 0.0000 0.0000 0.0000
Ga 0.3792 0.3792 0.0000
Ga 0.6208 0.6208 0.0000
Cu 0.2500 0.7500 0.5000
Au 0.7500 0.2500 0.5000

Peak list (10 most intense, 5° ≤ 2θ ≤ 70°, by intensity)
2θ/deg  I (rel.)
33.78  100.0
41.21  51.5
33.18  43.9
22.05  28.6
53.90  22.3
45.87  18.1
59.70  17.0
48.92  16.9
61.86  14.9
65.83  13.9